This entry pairs a crystal structure of Tm2TiGe2 with its theoretical powder diffractogram. Radiation: Cu Kα X-rays. Structure: a cell relaxed with GGA-PBE.
Neutral-atom scattering factors, no anomalous dispersion.

The 10 most intense peaks (2θ = 5–70°), sorted by position:
14.222 Å, 6.21 deg, intensity 84
3.555 Å, 25.05 deg, intensity 28
2.984 Å, 29.94 deg, intensity 100
2.844 Å, 31.45 deg, intensity 27
2.286 Å, 39.42 deg, intensity 35
2.110 Å, 42.85 deg, intensity 37
2.059 Å, 43.98 deg, intensity 43
1.815 Å, 50.28 deg, intensity 18
1.695 Å, 54.11 deg, intensity 23
1.492 Å, 62.21 deg, intensity 12

Structure:
Lattice parameters (Å, degrees): 2.9844 2.9844 14.2219 90.00 90.00 90.00
Sites, in units of the cell vectors:
Tm (0.0000, 0.0000, 0.1220)
Tm (0.0000, 0.0000, 0.8780)
Ti (0.0000, 0.0000, 0.5000)
Ge (0.0000, 0.0000, 0.3220)
Ge (0.0000, 0.0000, 0.6780)


This entry pairs a crystal structure of MoSI with its theoretical powder diffractogram. Radiation: Cu Kα X-rays. Structure: a cell relaxed with GGA-PBE.
Neutral-atom scattering factors, no anomalous dispersion.

The 10 most intense peaks (2θ = 5–70°), sorted by position:
6.062 Å, 14.61 deg, intensity 64
3.166 Å, 28.19 deg, intensity 53
3.031 Å, 29.47 deg, intensity 24
2.625 Å, 34.16 deg, intensity 100
2.409 Å, 37.33 deg, intensity 47
2.143 Å, 42.16 deg, intensity 17
2.021 Å, 44.86 deg, intensity 26
1.856 Å, 49.08 deg, intensity 58
1.583 Å, 58.29 deg, intensity 23
1.516 Å, 61.15 deg, intensity 17

Structure:
Lattice parameters (Å, degrees): 7.4245 7.4245 7.4245 60.00 60.00 60.00
Sites, in units of the cell vectors:
Mo (0.4052, 0.4052, 0.4052)
Mo (0.4052, 0.4052, 0.7844)
Mo (0.4052, 0.7844, 0.4052)
Mo (0.7844, 0.4052, 0.4052)
S (0.1211, 0.6263, 0.6263)
S (0.6263, 0.1211, 0.6263)
S (0.6263, 0.6263, 0.1211)
S (0.6263, 0.6263, 0.6263)
I (0.1265, 0.1265, 0.1265)
I (0.1265, 0.1265, 0.6205)
I (0.1265, 0.6205, 0.1265)
I (0.6205, 0.1265, 0.1265)


This entry pairs a crystal structure of BaBAsF10 with its theoretical powder diffractogram. Radiation: Cu Kα X-rays. Structure: a cell relaxed with GGA-PBE.
Neutral-atom scattering factors, no anomalous dispersion.

The 10 most intense peaks (2θ = 5–70°), sorted by position:
5.278 Å, 16.80 deg, intensity 29
5.048 Å, 17.57 deg, intensity 36
4.095 Å, 21.70 deg, intensity 33
4.014 Å, 22.15 deg, intensity 18
3.910 Å, 22.74 deg, intensity 100
3.431 Å, 25.97 deg, intensity 43
3.246 Å, 27.48 deg, intensity 21
2.233 Å, 40.40 deg, intensity 28
2.110 Å, 42.85 deg, intensity 18
2.065 Å, 43.84 deg, intensity 19

Structure:
Lattice parameters (Å, degrees): 10.7063 6.4919 12.1337 90.00 90.00 90.00
Sites, in units of the cell vectors:
Ba (0.2351, 0.2500, 0.1107)
Ba (0.2649, 0.7500, 0.6107)
Ba (0.7351, 0.2500, 0.3893)
Ba (0.7649, 0.7500, 0.8893)
B (0.1416, 0.7500, 0.9285)
B (0.3584, 0.2500, 0.4285)
B (0.6416, 0.7500, 0.5715)
B (0.8584, 0.2500, 0.0715)
As (0.0173, 0.7500, 0.3008)
As (0.4827, 0.2500, 0.8008)
As (0.5173, 0.7500, 0.1992)
As (0.9827, 0.2500, 0.6992)
F (0.0096, 0.7500, 0.9283)
F (0.0761, 0.2500, 0.8167)
F (0.0779, 0.0555, 0.6384)
F (0.0779, 0.4445, 0.6384)
F (0.1105, 0.7500, 0.4223)
F (0.1155, 0.5567, 0.2437)
F (0.1155, 0.9433, 0.2437)
F (0.1860, 0.5732, 0.9840)
F (0.1857, 0.7500, 0.8186)
F (0.1860, 0.9268, 0.9840)
F (0.3140, 0.0732, 0.4840)
F (0.3143, 0.2500, 0.3186)
F (0.3140, 0.4268, 0.4840)
F (0.3845, 0.0567, 0.7437)
F (0.3845, 0.4433, 0.7437)
F (0.3895, 0.2500, 0.9223)
F (0.4221, 0.5555, 0.1384)
F (0.4221, 0.9445, 0.1384)
F (0.4239, 0.7500, 0.3167)
F (0.4904, 0.2500, 0.4283)
F (0.5096, 0.7500, 0.5717)
F (0.5761, 0.2500, 0.6833)
F (0.5779, 0.0555, 0.8616)
F (0.5779, 0.4445, 0.8616)
F (0.6105, 0.7500, 0.0777)
F (0.6155, 0.5567, 0.2563)
F (0.6155, 0.9433, 0.2563)
F (0.6860, 0.5732, 0.5160)
F (0.6857, 0.7500, 0.6814)
F (0.6860, 0.9268, 0.5160)
F (0.8140, 0.0732, 0.0160)
F (0.8143, 0.2500, 0.1814)
F (0.8140, 0.4268, 0.0160)
F (0.8845, 0.0567, 0.7563)
F (0.8845, 0.4433, 0.7563)
F (0.8895, 0.2500, 0.5777)
F (0.9221, 0.5555, 0.3616)
F (0.9221, 0.9445, 0.3616)
F (0.9239, 0.7500, 0.1833)
F (0.9904, 0.2500, 0.0717)


This entry pairs a crystal structure of BaSrPdO2F2 with its theoretical powder diffractogram. Radiation: Cu Kα X-rays. Structure: a cell relaxed with GGA-PBE.
Neutral-atom scattering factors, no anomalous dispersion.

The 10 most intense peaks (2θ = 5–70°), sorted by position:
6.854 Å, 12.92 deg, intensity 13
3.070 Å, 29.09 deg, intensity 100
2.931 Å, 30.50 deg, intensity 33
2.286 Å, 39.41 deg, intensity 26
2.228 Å, 40.50 deg, intensity 14
2.073 Å, 43.67 deg, intensity 30
1.802 Å, 50.66 deg, intensity 10
1.718 Å, 53.33 deg, intensity 36
1.536 Å, 60.27 deg, intensity 18
1.466 Å, 63.47 deg, intensity 9

Structure:
Lattice parameters (Å, degrees): 7.4544 7.4544 7.4544 147.71 147.71 46.31
Sites, in units of the cell vectors:
Ba (0.0000, 0.0000, 0.0000)
Sr (0.7272, 0.7272, 0.0000)
Pd (0.3688, 0.3688, 0.0000)
O (0.3503, 0.8503, 0.5000)
O (0.8503, 0.3503, 0.5000)
F (0.1219, 0.6219, 0.5000)
F (0.6219, 0.1219, 0.5000)


This entry pairs a crystal structure of K2HgCl4O with its theoretical powder diffractogram. Radiation: Cu Kα X-rays. Structure: a cell relaxed with GGA-PBE.
Neutral-atom scattering factors, no anomalous dispersion.

The 10 most intense peaks (2θ = 5–70°), sorted by position:
6.743 Å, 13.13 deg, intensity 100
6.229 Å, 14.22 deg, intensity 44
4.009 Å, 22.17 deg, intensity 20
3.687 Å, 24.14 deg, intensity 33
3.576 Å, 24.90 deg, intensity 87
2.905 Å, 30.78 deg, intensity 46
2.633 Å, 34.05 deg, intensity 54
2.458 Å, 36.55 deg, intensity 18
2.124 Å, 42.55 deg, intensity 23
2.073 Å, 43.66 deg, intensity 35

Structure:
Lattice parameters (Å, degrees): 8.0186 12.4577 8.4348 90.00 90.00 90.00
Sites, in units of the cell vectors:
K (0.0907, 0.1655, 0.0000)
K (0.0933, 0.1726, 0.5000)
K (0.4067, 0.6726, 0.5000)
K (0.4093, 0.6655, 0.0000)
K (0.5907, 0.3345, 0.0000)
K (0.5933, 0.3274, 0.5000)
K (0.9067, 0.8274, 0.5000)
K (0.9093, 0.8345, 0.0000)
Hg (0.0000, 0.5000, 0.2454)
Hg (0.0000, 0.5000, 0.7546)
Hg (0.5000, 0.0000, 0.2454)
Hg (0.5000, 0.0000, 0.7546)
Cl (0.1059, 0.6848, 0.2506)
Cl (0.1059, 0.6848, 0.7494)
Cl (0.2335, 0.4400, 0.0000)
Cl (0.2474, 0.4453, 0.5000)
Cl (0.2526, 0.9453, 0.5000)
Cl (0.2665, 0.9400, 0.0000)
Cl (0.3941, 0.1848, 0.2506)
Cl (0.3941, 0.1848, 0.7494)
Cl (0.6059, 0.8152, 0.2506)
Cl (0.6059, 0.8152, 0.7494)
Cl (0.7335, 0.0600, 0.0000)
Cl (0.7474, 0.0547, 0.5000)
Cl (0.7526, 0.5547, 0.5000)
Cl (0.7665, 0.5600, 0.0000)
Cl (0.8941, 0.3152, 0.2506)
Cl (0.8941, 0.3152, 0.7494)
O (0.0000, 0.0000, 0.2680)
O (0.0000, 0.0000, 0.7320)
O (0.5000, 0.5000, 0.2680)
O (0.5000, 0.5000, 0.7320)


This entry pairs a crystal structure of Li2MnBr4 with its theoretical powder diffractogram. Radiation: Cu Kα X-rays. Structure: a cell relaxed with GGA-PBE.
Neutral-atom scattering factors, no anomalous dispersion.

The 10 most intense peaks (2θ = 5–70°), sorted by position:
6.369 Å, 13.90 deg, intensity 17
3.181 Å, 28.05 deg, intensity 100
2.817 Å, 31.77 deg, intensity 82
2.643 Å, 33.92 deg, intensity 34
1.995 Å, 45.46 deg, intensity 15
1.988 Å, 45.62 deg, intensity 14
1.927 Å, 47.15 deg, intensity 52
1.690 Å, 54.28 deg, intensity 15
1.687 Å, 54.39 deg, intensity 15
1.592 Å, 57.91 deg, intensity 14

Structure:
Lattice parameters (Å, degrees): 7.7254 7.7254 7.7254 118.03 117.80 93.65
Sites, in units of the cell vectors:
Li (0.0000, 0.0000, 0.0000)
Li (0.5000, 0.0000, 0.0000)
Li (0.5000, 0.0000, 0.5000)
Li (0.5000, 0.5000, 0.5000)
Mn (0.0000, 0.0000, 0.5000)
Mn (0.0000, 0.5000, 0.0000)
Br (0.2419, 0.7476, 0.4942)
Br (0.2448, 0.2341, 0.4893)
Br (0.2448, 0.7556, 0.0107)
Br (0.2466, 0.2524, 0.9942)
Br (0.7534, 0.7476, 0.0058)
Br (0.7552, 0.2444, 0.9893)
Br (0.7552, 0.7659, 0.5107)
Br (0.7581, 0.2524, 0.5058)


What is the formula in the fifth record?
K2HgCl4O